Structure and calculated X-ray diffraction stick pattern of CdN4Cl6 (the GGA-PBE geometry in the Materials Project; CuKα).
Peak positions follow from Bragg's law for the DFT cell and can differ from measured ones.

Peak list (10 most intense, 5° ≤ 2θ ≤ 70°, in order of falling intensity)
| (hkl) | two_theta | d [Å] | intensity |
| --- | --- | --- | --- |
| 2 2 0 | 19.76 | 4.492 | 100 |
| 0 1 2 | 23.13 | 3.846 | 97 |
| 4 1 0 | 26.24 | 3.396 | 92 |
| 1 3 1 | 23.46 | 3.792 | 89 |
| 1 1 0 | 9.85 | 8.984 | 59 |
| 2 3 2 | 33.77 | 2.654 | 57 |
| 3 1 2 | 30.60 | 2.921 | 55 |
| 3 0 0 | 17.09 | 5.187 | 47 |
| 6 3 0 | 46.31 | 1.960 | 34 |
| 3 3 0 | 29.84 | 2.995 | 32 |

abc: 17.9681 17.9681 7.9374
angles: 90.00 90.00 120.00
Space group R-3c (No. 167, hexagonal axes)
Unique sites:
Cd (0.0000, 0.0000, 0.0000) [6 per cell]
N (0.0000, 0.0000, 0.2500) [6 per cell]
N (0.0000, 0.3975, 0.2500) [18 per cell]
Cl (0.0764, 0.4891, 0.1539) [36 per cell]



Structure and calculated X-ray diffraction stick pattern of K2HgAuBr6 (the GGA-PBE geometry in the Materials Project; CuKα).
Peak positions follow from Bragg's law for the DFT cell and can differ from measured ones.

Peak list (10 most intense, 5° ≤ 2θ ≤ 70°, in order of falling intensity)
| (hkl) | two_theta | d [Å] | intensity |
| --- | --- | --- | --- |
| 2 0 0 | 16.05 | 5.522 | 100 |
| 4 0 0 | 32.43 | 2.761 | 77 |
| 4 2 0 | 36.38 | 2.469 | 56 |
| 4 4 0 | 46.52 | 1.952 | 55 |
| 2 2 0 | 22.77 | 3.905 | 39 |
| 6 0 0 | 49.52 | 1.841 | 30 |
| 4 4 4 | 57.85 | 1.594 | 19 |
| 4 2 2 | 40.00 | 2.254 | 18 |
| 6 4 0 | 60.45 | 1.531 | 13 |
| 6 4 2 | 62.98 | 1.476 | 10 |

abc: 11.0436 11.0436 11.0436
angles: 90.00 90.00 90.00
Space group Fm-3m (No. 225)
Unique sites:
K (0.2500, 0.2500, 0.2500) [8 per cell]
Hg (0.0000, 0.0000, 0.0000) [4 per cell]
Au (0.0000, 0.0000, 0.5000) [4 per cell]
Br (0.0000, 0.0000, 0.2556) [24 per cell]



Structure and calculated X-ray diffraction stick pattern of BaBeF4 (the GGA-PBE geometry in the Materials Project; CuKα).
Peak positions follow from Bragg's law for the DFT cell and can differ from measured ones.

Peak list (10 most intense, 5° ≤ 2θ ≤ 70°, in order of falling intensity)
| (hkl) | two_theta | d [Å] | intensity |
| --- | --- | --- | --- |
| 2 1 1 | 28.71 | 3.109 | 100 |
| 0 1 1 | 20.61 | 4.310 | 100 |
| 1 1 3 | 42.70 | 2.118 | 94 |
| 1 1 1 | 22.89 | 3.886 | 90 |
| 2 1 0 | 25.80 | 3.453 | 89 |
| 3 1 2 | 42.83 | 2.111 | 79 |
| 1 0 2 | 26.86 | 3.319 | 76 |
| 1 2 2 | 43.17 | 2.096 | 71 |
| 2 2 1 | 40.98 | 2.203 | 68 |
| 1 1 2 | 31.64 | 2.828 | 52 |

abc: 8.9767 5.4055 7.1435
angles: 90.00 90.00 90.00
Space group Pnma (No. 62)
Unique sites:
Ba (0.1874, 0.2500, 0.1547) [4 per cell]
Be (0.0540, 0.2500, 0.6910) [4 per cell]
F (0.0790, 0.0151, 0.8184) [8 per cell]
F (0.1095, 0.7500, 0.3768) [4 per cell]
F (0.1747, 0.2500, 0.5354) [4 per cell]



Structure and calculated X-ray diffraction stick pattern of K2LuCuCl6 (the GGA-PBE geometry in the Materials Project; CuKα).
Peak positions follow from Bragg's law for the DFT cell and can differ from measured ones.

Peak list (10 most intense, 5° ≤ 2θ ≤ 70°, in order of falling intensity)
| (hkl) | two_theta | d [Å] | intensity |
| --- | --- | --- | --- |
| 2 2 0 | 24.57 | 3.624 | 100 |
| 2 0 0 | 17.30 | 5.125 | 100 |
| 4 0 0 | 35.02 | 2.562 | 92 |
| 4 4 0 | 50.36 | 1.812 | 60 |
| 4 2 0 | 39.31 | 2.292 | 50 |
| 4 2 2 | 43.24 | 2.092 | 45 |
| 1 1 1 | 14.97 | 5.917 | 34 |
| 6 0 0 | 53.65 | 1.708 | 25 |
| 3 1 1 | 28.89 | 3.090 | 23 |
| 6 4 2 | 68.51 | 1.370 | 22 |

abc: 10.2493 10.2493 10.2493
angles: 90.00 90.00 90.00
Space group Fm-3m (No. 225)
Unique sites:
K (0.2500, 0.2500, 0.2500) [8 per cell]
Lu (0.0000, 0.0000, 0.0000) [4 per cell]
Cu (0.0000, 0.0000, 0.5000) [4 per cell]
Cl (0.0000, 0.0000, 0.2513) [24 per cell]



Structure and calculated X-ray diffraction stick pattern of Mo2NCl8 (the GGA-PBE geometry in the Materials Project; CuKα).
Peak positions follow from Bragg's law for the DFT cell and can differ from measured ones.

Peak list (10 most intense, 5° ≤ 2θ ≤ 70°, in order of falling intensity)
| (hkl) | two_theta | d [Å] | intensity |
| --- | --- | --- | --- |
| 0 1 0 | 12.90 | 6.864 | 100 |
| 1 0 2 | 14.21 | 6.232 | 79 |
| 1 1 -1 | 15.81 | 5.604 | 73 |
| 0 0 4 | 19.42 | 4.570 | 47 |
| 1 1 5 | 30.41 | 2.940 | 41 |
| 1 2 -4 | 32.80 | 2.730 | 34 |
| 0 0 2 | 9.67 | 9.147 | 30 |
| 1 1 6 | 34.83 | 2.576 | 29 |
| 2 3 2 | 45.34 | 2.000 | 29 |
| 1 0 -2 | 11.71 | 7.555 | 28 |

abc: 10.3549 6.8637 18.6388
angles: 90.00 101.02 90.00
Space group P2/c (No. 13)
Unique sites:
Mo (0.0664, 0.0433, 0.1643) [4 per cell]
Mo (0.3866, 0.1764, 0.6283) [4 per cell]
N (0.2068, 0.0596, 0.6463) [4 per cell]
Cl (0.0000, 0.2130, 0.7500) [2 per cell]
Cl (0.0598, 0.3314, 0.1038) [4 per cell]
Cl (0.0872, 0.1169, 0.9202) [4 per cell]
Cl (0.1634, 0.1818, 0.2792) [4 per cell]
Cl (0.2837, 0.3049, 0.5200) [4 per cell]
Cl (0.3400, 0.4230, 0.7009) [4 per cell]
Cl (0.4129, 0.1318, 0.0852) [4 per cell]
Cl (0.4140, 0.2960, 0.8867) [4 per cell]
Cl (0.5000, 0.0134, 0.7500) [2 per cell]



Structure and calculated X-ray diffraction stick pattern of KTbEuNbO6 (the GGA-PBE geometry in the Materials Project; CuKα).
Peak positions follow from Bragg's law for the DFT cell and can differ from measured ones.

Peak list (10 most intense, 5° ≤ 2θ ≤ 70°, in order of falling intensity)
| (hkl) | two_theta | d [Å] | intensity |
| --- | --- | --- | --- |
| 2 2 0 | 29.81 | 2.997 | 100 |
| 4 2 2 | 52.91 | 1.730 | 40 |
| 4 0 0 | 42.66 | 2.119 | 32 |
| 4 4 0 | 61.92 | 1.499 | 19 |
| 1 1 1 | 18.12 | 4.895 | 18 |
| 3 1 1 | 35.11 | 2.556 | 13 |
| 2 0 0 | 20.96 | 4.239 | 7 |
| 3 3 1 | 46.70 | 1.945 | 6 |
| 3 3 3 | 56.40 | 1.632 | 4 |
| 5 3 1 | 65.09 | 1.433 | 4 |

abc: 8.4777 8.4777 8.4777
angles: 90.00 90.00 90.00
Space group F-43m (No. 216)
Unique sites:
K (0.0000, 0.0000, 0.0000) [4 per cell]
Tb (0.2500, 0.2500, 0.7500) [4 per cell]
Eu (0.0000, 0.0000, 0.5000) [4 per cell]
Nb (0.2500, 0.2500, 0.2500) [4 per cell]
O (0.0135, 0.2500, 0.2500) [24 per cell]